1.
Structure and calculated X-ray diffraction stick pattern of Li2CuIO4 (the GGA-PBE geometry in Alexandria; Cu Kα (weighted mean of Kα1 and Kα2)).
Neutral-atom scattering factors, no anomalous dispersion.

Crystal structure
```
data_Li2CuIO4
_space_group_name_H-M_alt 'P m n 21'
_space_group_IT_number 31
_space_group_name_Hall 'P 2ac -2'
_cell_length_a 6.7235
_cell_length_b 5.5544
_cell_length_c 5.8215
_cell_angle_alpha 90.00
_cell_angle_beta 90.00
_cell_angle_gamma 90.00
loop_
_atom_site_label
_atom_site_fract_x
_atom_site_fract_y
_atom_site_fract_z
Li1 0.2413 0.1676 0.0000
Cu1 0.0000 0.3211 0.4696
I1 0.0000 0.6902 0.8932
O1 0.0000 0.3445 0.8776
O2 0.0000 0.6723 0.5621
O3 0.2357 0.1533 0.3482
```

The 10 most intense peaks (10 to 90 degrees two-theta), by angle:
| index | d_spacing | I (rel.) |
| --- | --- | --- |
| 0 1 0 | 5.554 | 17 |
| 1 0 1 | 4.401 | 31 |
| 0 1 1 | 4.019 | 100 |
| 2 0 0 | 3.362 | 37 |
| 0 0 2 | 2.911 | 34 |
| 2 1 0 | 2.876 | 20 |
| 0 2 0 | 2.777 | 19 |
| 2 1 1 | 2.578 | 43 |
| 2 0 2 | 2.201 | 18 |
| 0 2 2 | 2.009 | 27 |



2.
Structure and calculated X-ray diffraction stick pattern of LiCuI2O8 (the GGA-PBE geometry in Alexandria; Cu Kα (weighted mean of Kα1 and Kα2)).
Neutral-atom scattering factors, no anomalous dispersion.

Crystal structure
```
data_LiCuI2O8
_space_group_name_H-M_alt 'I -4 m 2'
_space_group_IT_number 119
_space_group_name_Hall 'I -4 -2'
_cell_length_a 6.6929
_cell_length_b 6.6929
_cell_length_c 7.5110
_cell_angle_alpha 90.00
_cell_angle_beta 90.00
_cell_angle_gamma 90.00
loop_
_atom_site_label
_atom_site_fract_x
_atom_site_fract_y
_atom_site_fract_z
Li1 0.0000 0.0000 0.0000
Cu1 0.0000 0.5000 0.7500
I1 0.0000 0.0000 0.5000
I2 0.0000 0.5000 0.2500
O1 0.0000 0.2249 0.6442
O2 0.0000 0.2843 0.1097
```

The 10 most intense peaks (10 to 90 degrees two-theta), by angle:
| index | d_spacing | I (rel.) |
| --- | --- | --- |
| 1 0 1 | 4.997 | 70 |
| 2 0 0 | 3.346 | 75 |
| 1 1 2 | 2.942 | 100 |
| 2 1 1 | 2.781 | 38 |
| 3 1 2 | 1.844 | 53 |
| 4 0 0 | 1.673 | 16 |
| 2 0 4 | 1.638 | 17 |
| 2 2 4 | 1.471 | 20 |
| 3 3 2 | 1.454 | 13 |
| 5 1 2 | 1.239 | 13 |



3.
Structure and calculated X-ray diffraction stick pattern of LiCu2SnI6 (the GGA-PBE geometry in Alexandria; Cu Kα (weighted mean of Kα1 and Kα2)).
Neutral-atom scattering factors, no anomalous dispersion.

Crystal structure
```
data_LiCu2SnI6
_space_group_name_H-M_alt 'C 1 2/c 1'
_space_group_IT_number 15
_space_group_name_Hall '-C 2yc'
_cell_length_a 14.3193
_cell_length_b 13.1404
_cell_length_c 7.5052
_cell_angle_alpha 90.00
_cell_angle_beta 100.82
_cell_angle_gamma 90.00
loop_
_atom_site_label
_atom_site_fract_x
_atom_site_fract_y
_atom_site_fract_z
Li1 0.0000 0.2207 0.2500
Cu1 0.1764 0.0837 0.8107
Sn1 0.0000 0.4030 0.7500
I1 0.1240 0.2433 0.6137
I2 0.1303 0.0802 0.1263
I3 0.1298 0.4051 0.1392
```

The 10 most intense peaks (10 to 90 degrees two-theta), by angle:
| index | d_spacing | I (rel.) |
| --- | --- | --- |
| 3 1 0 | 4.416 | 17 |
| 1 3 1 | 3.552 | 100 |
| 4 0 0 | 3.516 | 39 |
| 3 3 -1 | 3.084 | 66 |
| 2 0 2 | 3.039 | 38 |
| 0 6 0 | 2.190 | 22 |
| 6 0 -2 | 2.172 | 69 |
| 5 3 1 | 2.157 | 44 |
| 5 3 -3 | 1.858 | 24 |
| 4 0 -4 | 1.776 | 18 |



4.
Structure and calculated X-ray diffraction stick pattern of Rb2MgCuI5 (the GGA-PBE geometry in Alexandria; Cu Kα (weighted mean of Kα1 and Kα2)).
Neutral-atom scattering factors, no anomalous dispersion.

Crystal structure
```
data_Rb2MgCuI5
_space_group_name_H-M_alt 'C m c 21'
_space_group_IT_number 36
_space_group_name_Hall 'C 2c -2'
_cell_length_a 4.5103
_cell_length_b 21.5709
_cell_length_c 15.0425
_cell_angle_alpha 90.00
_cell_angle_beta 90.00
_cell_angle_gamma 90.00
loop_
_atom_site_label
_atom_site_fract_x
_atom_site_fract_y
_atom_site_fract_z
Rb1 0.0000 0.1226 0.0000
Rb2 0.0000 0.1252 0.6225
Mg1 0.0000 0.2041 0.3218
Cu1 0.0000 0.4320 0.7290
I1 0.0000 0.0687 0.3219
I2 0.0000 0.2950 0.9543
I3 0.0000 0.3033 0.6837
I4 0.0000 0.3368 0.3116
I5 0.0000 0.4955 0.5846
```

The 10 most intense peaks (10 to 90 degrees two-theta), by angle:
| index | d_spacing | I (rel.) |
| --- | --- | --- |
| 0 4 3 | 3.672 | 41 |
| 0 2 4 | 3.551 | 20 |
| 0 6 1 | 3.497 | 31 |
| 1 3 2 | 3.406 | 43 |
| 1 1 3 | 3.313 | 100 |
| 1 5 0 | 3.118 | 53 |
| 0 8 2 | 2.538 | 19 |
| 2 0 0 | 2.255 | 28 |
| 1 7 4 | 2.107 | 40 |
| 2 8 2 | 1.686 | 19 |



5.
Structure and calculated X-ray diffraction stick pattern of MgTl2CuI5 (the GGA-PBE geometry in Alexandria; Cu Kα (weighted mean of Kα1 and Kα2)).
Neutral-atom scattering factors, no anomalous dispersion.

Crystal structure
```
data_MgTl2CuI5
_space_group_name_H-M_alt 'C m c 21'
_space_group_IT_number 36
_space_group_name_Hall 'C 2c -2'
_cell_length_a 4.4039
_cell_length_b 20.5767
_cell_length_c 14.7614
_cell_angle_alpha 90.00
_cell_angle_beta 90.00
_cell_angle_gamma 90.00
loop_
_atom_site_label
_atom_site_fract_x
_atom_site_fract_y
_atom_site_fract_z
Mg1 0.0000 0.2051 0.0000
Tl1 0.0000 0.1172 0.6693
Tl2 0.0000 0.1260 0.3010
Cu1 0.0000 0.4355 0.4095
I1 0.0000 0.0621 0.0066
I2 0.0000 0.2908 0.6357
I3 0.0000 0.3032 0.3604
I4 0.0000 0.3466 0.9881
I5 0.0000 0.4992 0.2599
```

The 10 most intense peaks (10 to 90 degrees two-theta), by angle:
| index | d_spacing | I (rel.) |
| --- | --- | --- |
| 0 4 3 | 3.556 | 26 |
| 0 6 1 | 3.340 | 37 |
| 1 3 2 | 3.312 | 44 |
| 1 1 3 | 3.241 | 100 |
| 1 5 0 | 3.007 | 47 |
| 0 2 5 | 2.838 | 20 |
| 1 5 2 | 2.785 | 20 |
| 0 8 2 | 2.429 | 17 |
| 2 0 0 | 2.202 | 27 |
| 1 7 4 | 2.038 | 27 |



6.
Structure and calculated X-ray diffraction stick pattern of MnCu2I8 (the GGA-PBE geometry in Alexandria; Cu Kα (weighted mean of Kα1 and Kα2)).
Neutral-atom scattering factors, no anomalous dispersion.

Crystal structure
```
data_MnCu2I8
_space_group_name_H-M_alt 'C 1 2/m 1'
_space_group_IT_number 12
_space_group_name_Hall '-C 2y'
_cell_length_a 11.9303
_cell_length_b 11.9206
_cell_length_c 6.9071
_cell_angle_alpha 90.00
_cell_angle_beta 106.69
_cell_angle_gamma 90.00
loop_
_atom_site_label
_atom_site_fract_x
_atom_site_fract_y
_atom_site_fract_z
Mn1 0.0000 0.0000 0.0000
Cu1 0.1990 0.0000 0.6858
I1 0.0748 0.5000 0.2081
I2 0.0936 0.1598 0.8217
I3 0.2223 0.0000 0.3317
```

The 10 most intense peaks (10 to 90 degrees two-theta), by angle:
| index | d_spacing | I (rel.) |
| --- | --- | --- |
| 0 2 0 | 5.960 | 93 |
| 2 2 -1 | 3.880 | 100 |
| 2 0 1 | 3.816 | 44 |
| 1 3 0 | 3.753 | 64 |
| 3 1 -1 | 3.628 | 70 |
| 0 0 2 | 3.310 | 57 |
| 3 1 1 | 2.868 | 85 |
| 2 4 -1 | 2.575 | 55 |
| 0 6 0 | 1.986 | 57 |
| 5 3 0 | 1.981 | 49 |



7.
Structure and calculated X-ray diffraction stick pattern of Mn3Cu2I8 (the GGA-PBE geometry in Alexandria; Cu Kα (weighted mean of Kα1 and Kα2)).
Neutral-atom scattering factors, no anomalous dispersion.

Crystal structure
```
data_Mn3Cu2I8
_space_group_name_H-M_alt 'C m c e'
_space_group_IT_number 64
_space_group_name_Hall '-C 2ac 2'
_cell_length_a 8.4328
_cell_length_b 16.6148
_cell_length_c 11.8418
_cell_angle_alpha 90.00
_cell_angle_beta 90.00
_cell_angle_gamma 90.00
loop_
_atom_site_label
_atom_site_fract_x
_atom_site_fract_y
_atom_site_fract_z
Mn1 0.0000 0.0000 0.0000
Mn2 0.2500 0.1357 0.2500
Cu1 0.0000 0.1208 0.6111
I1 0.0000 0.0058 0.2477
I2 0.0000 0.2477 0.7510
I3 0.2404 0.1243 0.0078
```

The 10 most intense peaks (10 to 90 degrees two-theta), by angle:
| index | d_spacing | I (rel.) |
| --- | --- | --- |
| 2 0 2 | 3.435 | 60 |
| 0 4 2 | 3.400 | 67 |
| 0 0 4 | 2.960 | 100 |
| 4 0 0 | 2.108 | 20 |
| 2 4 4 | 2.093 | 76 |
| 0 8 0 | 2.077 | 19 |
| 4 4 2 | 1.792 | 21 |
| 2 8 2 | 1.777 | 18 |
| 4 8 0 | 1.480 | 18 |
| 2 4 8 | 1.324 | 21 |



8.
Structure and calculated X-ray diffraction stick pattern of MnCuI5 (the GGA-PBE geometry in Alexandria; Cu Kα (weighted mean of Kα1 and Kα2)).
Neutral-atom scattering factors, no anomalous dispersion.

Crystal structure
```
data_MnCuI5
_space_group_name_H-M_alt 'C 1 2/c 1'
_space_group_IT_number 15
_space_group_name_Hall '-C 2yc'
_cell_length_a 13.5570
_cell_length_b 6.7455
_cell_length_c 11.5233
_cell_angle_alpha 90.00
_cell_angle_beta 90.18
_cell_angle_gamma 90.00
loop_
_atom_site_label
_atom_site_fract_x
_atom_site_fract_y
_atom_site_fract_z
Mn1 0.0000 0.0000 0.0000
Cu1 0.0000 0.3557 0.2500
I1 0.0000 0.2487 0.7500
I2 0.1324 0.2437 0.4133
I3 0.1362 0.2327 0.0894
```

The 10 most intense peaks (10 to 90 degrees two-theta), by angle:
| index | d_spacing | I (rel.) |
| --- | --- | --- |
| 2 0 0 | 6.778 | 34 |
| 1 1 1 | 5.349 | 23 |
| 3 1 1 | 3.569 | 65 |
| 0 2 0 | 3.373 | 58 |
| 1 1 -3 | 3.241 | 100 |
| 4 0 -2 | 2.922 | 33 |
| 3 1 3 | 2.685 | 42 |
| 4 2 -2 | 2.208 | 36 |
| 0 0 6 | 1.921 | 45 |
| 0 2 6 | 1.669 | 23 |



9.
Structure and calculated X-ray diffraction stick pattern of Mn2CuI5 (the GGA-PBE geometry in Alexandria; Cu Kα (weighted mean of Kα1 and Kα2)).
Neutral-atom scattering factors, no anomalous dispersion.

Crystal structure
```
data_Mn2CuI5
_space_group_name_H-M_alt 'C 1 m 1'
_space_group_IT_number 8
_space_group_name_Hall 'C -2y'
_cell_length_a 12.7084
_cell_length_b 8.3709
_cell_length_c 7.2440
_cell_angle_alpha 90.00
_cell_angle_beta 114.73
_cell_angle_gamma 90.00
loop_
_atom_site_label
_atom_site_fract_x
_atom_site_fract_y
_atom_site_fract_z
Mn1 0.0000 0.2073 0.0000
Cu1 0.2049 0.0000 0.5381
I1 0.0879 0.0000 0.8020
I2 0.1562 0.2715 0.3716
I3 0.3339 0.5000 0.9994
I4 0.4294 0.0000 0.7986
```

The 10 most intense peaks (10 to 90 degrees two-theta), by angle:
| index | d_spacing | I (rel.) |
| --- | --- | --- |
| 2 0 -1 | 5.672 | 100 |
| 1 1 1 | 4.230 | 50 |
| 3 1 -1 | 3.730 | 49 |
| 2 0 1 | 3.648 | 57 |
| 0 2 1 | 3.531 | 99 |
| 2 2 -1 | 3.368 | 38 |
| 0 0 2 | 3.291 | 41 |
| 3 3 0 | 2.258 | 39 |
| 2 2 2 | 2.115 | 40 |
| 0 4 0 | 2.091 | 62 |



10.
Structure and calculated X-ray diffraction stick pattern of RbMnCu2I8 (the GGA-PBE geometry in Alexandria; Cu Kα (weighted mean of Kα1 and Kα2)).
Neutral-atom scattering factors, no anomalous dispersion.

Crystal structure
```
data_RbMnCu2I8
_space_group_name_H-M_alt 'R 3 2'
_space_group_IT_number 155
_space_group_name_Hall 'R 3 2"'
_cell_length_a 7.0709
_cell_length_b 7.0709
_cell_length_c 32.0561
_cell_angle_alpha 90.00
_cell_angle_beta 90.00
_cell_angle_gamma 120.00
loop_
_atom_site_label
_atom_site_fract_x
_atom_site_fract_y
_atom_site_fract_z
Rb1 0.0000 0.0000 0.0000
Mn1 0.0000 0.0000 0.5000
Cu1 0.0000 0.0000 0.2442
I1 0.0000 0.0000 0.3239
I2 0.0089 0.3120 0.5574
```

The 10 most intense peaks (10 to 90 degrees two-theta), by angle:
| index | d_spacing | I (rel.) |
| --- | --- | --- |
| 0 0 9 | 3.562 | 76 |
| 1 1 0 | 3.535 | 89 |
| 1 1 3 | 3.356 | 100 |
| 1 1 6 | 2.948 | 84 |
| 1 1 9 | 2.509 | 66 |
| 1 1 12 | 2.131 | 41 |
| 3 0 0 | 2.041 | 66 |
| 1 1 15 | 1.829 | 18 |
| 0 3 9 | 1.771 | 54 |
| 1 1 18 | 1.591 | 19 |